# Nd5TmPb3
Computed powder diffraction line list, λ = 1.5418 Å (Cu Kα). Input: a cell relaxed with PBE.
Intensities are scaled so that the largest is 100.

Cell lengths 9.744, 9.744, 6.779 Å; angles 90.00, 90.00, 120.00 degrees
Fractional positions:
1 Nd 0.000 0.326 0.250
2 Nd 0.000 0.674 0.750
3 Nd 0.326 0.000 0.250
4 Nd 0.326 0.326 0.750
5 Nd 0.333 0.667 0.000
6 Nd 0.333 0.667 0.500
7 Nd 0.667 0.333 0.000
8 Nd 0.667 0.333 0.500
9 Nd 0.674 0.000 0.750
10 Nd 0.674 0.674 0.250
11 Tm 0.000 0.000 0.000
12 Tm 0.000 0.000 0.500
13 Pb 0.000 0.338 0.750
14 Pb 0.000 0.662 0.250
15 Pb 0.338 0.000 0.750
16 Pb 0.338 0.338 0.250
17 Pb 0.662 0.000 0.250
18 Pb 0.662 0.662 0.750

Main lines, by intensity (5° ≤ 2θ ≤ 70°):
2θ (°), I (rel.)
31.81, 100
32.17, 83
56.91, 33
45.87, 31
64.15, 27
56.68, 20
41.73, 15
66.48, 12
26.29, 8
54.11, 8

# Nd6Zn5Pb
Computed powder diffraction line list, λ = 1.5418 Å (Cu Kα). Input: a cell relaxed with PBE.
Intensities are scaled so that the largest is 100.

Cell lengths 9.161, 9.161, 5.266 Å; angles 106.68, 106.68, 120.03 degrees
Fractional positions:
1 Nd 0.071 0.415 0.743
2 Nd 0.237 0.237 0.237
3 Nd 0.415 0.071 0.743
4 Nd 0.585 0.929 0.257
5 Nd 0.763 0.763 0.763
6 Nd 0.929 0.585 0.257
7 Zn 0.000 0.000 0.500
8 Zn 0.168 0.832 0.000
9 Zn 0.333 0.667 0.500
10 Zn 0.667 0.333 0.500
11 Zn 0.832 0.168 0.000
12 Pb 0.500 0.500 0.000

Main lines, by intensity (5° ≤ 2θ ≤ 70°):
2θ (°), I (rel.)
33.89, 100
34.05, 20
60.60, 18
60.84, 15
48.80, 14
60.66, 11
48.58, 7
23.84, 4
23.49, 3
20.58, 2

# Nd2Pd7
Computed powder diffraction line list, λ = 1.5418 Å (Cu Kα). Input: a cell relaxed with PBE.
Intensities are scaled so that the largest is 100.

Cell lengths 13.943, 13.943, 13.943 Å; angles 22.35, 22.35, 22.35 degrees
Fractional positions:
1 Nd 0.049 0.049 0.049
2 Nd 0.146 0.146 0.146
3 Nd 0.854 0.854 0.854
4 Nd 0.951 0.951 0.951
5 Pd 0.000 0.500 0.500
6 Pd 0.109 0.613 0.613
7 Pd 0.277 0.277 0.277
8 Pd 0.387 0.387 0.891
9 Pd 0.387 0.891 0.387
10 Pd 0.389 0.389 0.389
11 Pd 0.500 0.000 0.500
12 Pd 0.500 0.500 0.000
13 Pd 0.500 0.500 0.500
14 Pd 0.611 0.611 0.611
15 Pd 0.613 0.109 0.613
16 Pd 0.613 0.613 0.109
17 Pd 0.723 0.723 0.723
18 Pd 0.891 0.387 0.387

Main lines, by intensity (5° ≤ 2θ ≤ 70°):
2θ (°), I (rel.)
38.80, 100
33.15, 28
38.53, 27
42.50, 25
69.57, 22
63.01, 22
39.80, 21
30.77, 19
29.05, 17
42.35, 13

# Nd6Pd23
Computed powder diffraction line list, λ = 1.5418 Å (Cu Kα). Input: a cell relaxed with PBE.
Intensities are scaled so that the largest is 100.

Cell lengths 9.203, 9.203, 9.203 Å; angles 60.00, 60.00, 60.00 degrees
Fractional positions:
1 Nd 0.224 0.224 0.776
2 Nd 0.224 0.776 0.224
3 Nd 0.224 0.776 0.776
4 Nd 0.776 0.224 0.224
5 Nd 0.776 0.224 0.776
6 Nd 0.776 0.776 0.224
7 Pd 0.000 0.000 0.500
8 Pd 0.000 0.500 0.000
9 Pd 0.000 0.500 0.500
10 Pd 0.139 0.620 0.620
11 Pd 0.170 0.170 0.170
12 Pd 0.170 0.170 0.491
13 Pd 0.170 0.491 0.170
14 Pd 0.380 0.380 0.380
15 Pd 0.380 0.380 0.861
16 Pd 0.380 0.861 0.380
17 Pd 0.491 0.170 0.170
18 Pd 0.500 0.000 0.000
19 Pd 0.500 0.000 0.500
20 Pd 0.500 0.500 0.000
21 Pd 0.500 0.500 0.500
22 Pd 0.509 0.830 0.830
23 Pd 0.620 0.139 0.620
24 Pd 0.620 0.620 0.139
25 Pd 0.620 0.620 0.620
26 Pd 0.830 0.509 0.830
27 Pd 0.830 0.830 0.509
28 Pd 0.830 0.830 0.830
29 Pd 0.861 0.380 0.380

Main lines, by intensity (5° ≤ 2θ ≤ 70°):
2θ (°), I (rel.)
39.15, 100
35.85, 37
41.03, 17
33.74, 14
44.00, 12
68.81, 8
11.78, 8
65.32, 8
56.57, 8
45.71, 8

# Nd3Pd2
Computed powder diffraction line list, λ = 1.5418 Å (Cu Kα). Input: a cell relaxed with PBE.
Intensities are scaled so that the largest is 100.

Cell lengths 9.520, 9.520, 11.104 Å; angles 98.28, 98.28, 26.44 degrees
Fractional positions:
1 Nd 0.000 0.000 0.000
2 Nd 0.037 0.037 0.660
3 Nd 0.292 0.292 0.387
4 Nd 0.329 0.329 0.052
5 Nd 0.372 0.372 0.724
6 Nd 0.628 0.628 0.276
7 Nd 0.671 0.671 0.948
8 Nd 0.708 0.708 0.613
9 Nd 0.963 0.963 0.340
10 Pd 0.132 0.132 0.461
11 Pd 0.184 0.184 0.131
12 Pd 0.476 0.476 0.174
13 Pd 0.524 0.524 0.826
14 Pd 0.816 0.816 0.869
15 Pd 0.868 0.868 0.539

Main lines, by intensity (5° ≤ 2θ ≤ 70°):
2θ (°), I (rel.)
41.49, 100
33.65, 73
31.76, 71
36.77, 60
31.53, 54
29.22, 32
31.33, 29
22.76, 27
25.11, 27
53.02, 25

# Nd2Pd5
Computed powder diffraction line list, λ = 1.5418 Å (Cu Kα). Input: a cell relaxed with PBE.
Intensities are scaled so that the largest is 100.

Cell lengths 7.366, 7.366, 5.948 Å; angles 90.00, 90.00, 120.53 degrees
Fractional positions:
1 Nd 0.096 0.301 0.000
2 Nd 0.301 0.096 0.500
3 Nd 0.699 0.904 0.500
4 Nd 0.904 0.699 0.000
5 Pd 0.100 0.361 0.500
6 Pd 0.269 0.731 0.250
7 Pd 0.269 0.731 0.750
8 Pd 0.361 0.100 0.000
9 Pd 0.500 0.500 0.250
10 Pd 0.500 0.500 0.750
11 Pd 0.639 0.900 0.000
12 Pd 0.731 0.269 0.250
13 Pd 0.731 0.269 0.750
14 Pd 0.900 0.639 0.500

Main lines, by intensity (5° ≤ 2θ ≤ 70°):
2θ (°), I (rel.)
39.05, 100
37.37, 96
41.46, 83
33.26, 35
37.59, 27
61.07, 24
37.24, 22
66.85, 21
49.92, 15
62.45, 15